(1)
Diffraction record for ZrTa2RhN. The PXRD pattern is calculated, not measured: it uses a cell relaxed with GGA-PBE and Cu Kα (weighted mean of Kα1 and Kα2).
Kinematic intensities with the Lorentz-polarization factor, no thermal factor.

The 10 most intense peaks (2θ = 5–70°), by angle:
2θ = 19.7°, 4.516 Å, rel. 11
2θ = 30.2°, 2.957 Å, rel. 6
2θ = 36.3°, 2.474 Å, rel. 100
2θ = 39.9°, 2.258 Å, rel. 21
2θ = 43.3°, 2.091 Å, rel. 34
2θ = 47.9°, 1.897 Å, rel. 5
2θ = 50.9°, 1.795 Å, rel. 3
2θ = 60.3°, 1.534 Å, rel. 25
2θ = 62.9°, 1.478 Å, rel. 11
2θ = 66.6°, 1.405 Å, rel. 2

Crystal structure
a b c (Å): 4.1817 4.1817 4.5160
angles (deg): 90.00 90.00 90.00
Fractional positions:
Zr: 0.0000 0.0000 0.0000
Ta: 0.0000 0.5000 0.5000
Ta: 0.5000 0.0000 0.5000
Rh: 0.5000 0.5000 0.0000
N: 0.0000 0.0000 0.5000

---

(2)
Diffraction record for Dy2Tm7In. The PXRD pattern is calculated, not measured: it uses a cell relaxed with GGA-PBE and Cu Kα (weighted mean of Kα1 and Kα2).
Kinematic intensities with the Lorentz-polarization factor, no thermal factor.

The 10 most intense peaks (2θ = 5–70°), by angle:
2θ = 11.7°, 7.591 Å, rel. 19
2θ = 17.1°, 5.193 Å, rel. 45
2θ = 20.7°, 4.288 Å, rel. 31
2θ = 30.3°, 2.954 Å, rel. 34
2θ = 34.1°, 2.627 Å, rel. 100
2θ = 34.5°, 2.596 Å, rel. 42
2θ = 36.3°, 2.476 Å, rel. 57
2θ = 46.6°, 1.950 Å, rel. 21
2θ = 61.6°, 1.505 Å, rel. 18
2θ = 63.9°, 1.457 Å, rel. 22

Crystal structure
a b c (Å): 9.2063 9.2063 5.1929
angles (deg): 90.00 90.00 124.45
Fractional positions:
Dy: 0.2072 0.7928 0.0000
Dy: 0.7928 0.2072 0.0000
Tm: 0.0000 0.0000 0.0000
Tm: 0.2181 0.4274 0.0000
Tm: 0.3041 0.6959 0.5000
Tm: 0.4274 0.2181 0.0000
Tm: 0.5726 0.7819 0.0000
Tm: 0.6959 0.3041 0.5000
Tm: 0.7819 0.5726 0.0000
In: 0.5000 0.5000 0.5000